[1]
Structure and calculated powder diffraction line list of CeUCrN4 (a structure optimized by DFT (PBE); Cu Kα (λ = 1.5418 Å)).
Intensities are scaled so that the largest is 100.

The 10 most intense peaks (2θ from 10° to 90°), in order of rising 2θ:
25.09 deg, I 41
29.13 deg, I 18
32.60 deg, I 100
33.98 deg, I 32
34.40 deg, I 31
44.29 deg, I 17
49.14 deg, I 28
58.24 deg, I 17
59.95 deg, I 18
60.49 deg, I 18

Cell and atoms:
```
data_CeUCrN4
_symmetry_space_group_name_H-M 'C m c m'
_symmetry_Int_Tables_number 63
_symmetry_space_group_name_Hall '-C 2c 2'
_cell_length_a 5.213
_cell_length_b 12.264
_cell_length_c 5.276
_cell_angle_alpha 90.00
_cell_angle_beta 90.00
_cell_angle_gamma 90.00
loop_
_atom_site_label
_atom_site_fract_x
_atom_site_fract_y
_atom_site_fract_z
Ce1 0.000 0.106 0.250
U1 0.000 0.390 0.250
Cr1 0.000 0.237 0.750
N1 0.000 0.079 0.750
N2 0.000 0.440 0.750
N3 0.250 0.250 0.000
```

=====

[2]
Structure and calculated powder diffraction line list of Ce2UCr2N6 (a structure optimized by DFT (PBE); Cu Kα (λ = 1.5418 Å)).
Intensities are scaled so that the largest is 100.

The 10 most intense peaks (2θ from 10° to 90°), in order of rising 2θ:
19.04 deg, I 43
27.73 deg, I 26
31.88 deg, I 100
32.02 deg, I 98
42.86 deg, I 17
45.81 deg, I 41
56.73 deg, I 19
57.01 deg, I 58
75.86 deg, I 16
76.08 deg, I 16

Cell and atoms:
```
data_Ce2UCr2N6
_symmetry_space_group_name_H-M 'R -3 m'
_symmetry_Int_Tables_number 166
_symmetry_space_group_name_Hall '-R 3 2"'
_cell_length_a 5.5906
_cell_length_b 5.5906
_cell_length_c 17.2228
_cell_angle_alpha 90.00
_cell_angle_beta 90.00
_cell_angle_gamma 120.00
loop_
_atom_site_label
_atom_site_fract_x
_atom_site_fract_y
_atom_site_fract_z
Ce1 0.0000 0.0000 0.2094
U1 0.0000 0.0000 0.0000
Cr1 0.0000 0.0000 0.3992
N1 0.0119 0.5060 0.7595
```